# 1
This entry pairs a crystal structure of UCo4B4 with its theoretical powder X-ray diffraction pattern. Radiation: CuKα. Structure: a GGA-PBE-relaxed structure.
Lines closer than 0.1° are merged.

Crystal structure
a b c (Å): 5.0008 5.0008 6.9746
angles (deg): 90.00 90.00 90.00
Space group P4_2/nmc (No. 137, origin choice 2)
Asymmetric unit:
U 0.2500 0.7500 0.2500
Co 0.0035 0.2500 0.1089
B 0.0760 0.2500 0.4051

Top 6 peaks for 2θ = 10–90°, low angle first:
2θ (°), intensity
21.9, 54
25.2, 41
36.2, 43
42.4, 100
42.9, 57
44.6, 22

***

# 2
This entry pairs a crystal structure of UCo8B4 with its theoretical powder X-ray diffraction pattern. Radiation: CuKα. Structure: a GGA-PBE-relaxed structure.
Lines closer than 0.1° are merged.

Crystal structure
a b c (Å): 7.5297 7.5297 4.4220
angles (deg): 90.00 90.00 90.00
Space group I4/mmm (No. 139)
Asymmetric unit:
U 0.0000 0.0000 0.0000
Co 0.0000 0.2270 0.5000
Co 0.0000 0.3388 0.0000
B 0.2500 0.2500 0.2500

Top 6 peaks for 2θ = 10–90°, low angle first:
2θ (°), intensity
23.6, 54
33.4, 56
40.8, 45
41.4, 58
48.2, 100
48.4, 32

***

# 3
This entry pairs a crystal structure of V3Co20B6 with its theoretical powder X-ray diffraction pattern. Radiation: CuKα. Structure: a GGA-PBE-relaxed structure.
Lines closer than 0.1° are merged.

Crystal structure
a b c (Å): 10.4008 10.4008 10.4008
angles (deg): 90.00 90.00 90.00
Space group Fm-3m (No. 225)
Asymmetric unit:
V 0.0000 0.0000 0.0000
V 0.2500 0.2500 0.2500
Co 0.0000 0.1695 0.1695
Co 0.1199 0.1199 0.3801
B 0.0000 0.0000 0.2738

Top 6 peaks for 2θ = 10–90°, low angle first:
2θ (°), intensity
38.7, 21
42.6, 24
45.3, 100
49.6, 19
52.0, 30
77.9, 19

***

# 4
This entry pairs a crystal structure of VCo4B2 with its theoretical powder X-ray diffraction pattern. Radiation: CuKα. Structure: a GGA-PBE-relaxed structure.
Lines closer than 0.1° are merged.

Crystal structure
a b c (Å): 3.3355 11.9740 3.3302
angles (deg): 90.00 90.00 90.00
Space group Cmmm (No. 65)
Asymmetric unit:
V 0.0000 0.0000 0.0000
Co 0.0000 0.1732 0.5000
Co 0.0000 0.3250 0.0000
B 0.0000 0.4280 0.5000

Top 6 peaks for 2θ = 10–90°, low angle first:
2θ (°), intensity
14.8, 31
44.7, 100
45.4, 20
55.1, 28
74.1, 16
83.4, 11

***

# 5
This entry pairs a crystal structure of V3CoB4 with its theoretical powder X-ray diffraction pattern. Radiation: CuKα. Structure: a GGA-PBE-relaxed structure.
Lines closer than 0.1° are merged.

Crystal structure
a b c (Å): 3.0790 4.4827 11.0759
angles (deg): 90.00 90.00 90.00
Space group Immm (No. 71)
Asymmetric unit:
V 0.0000 0.0000 0.0000
V 0.0000 0.5000 0.1908
Co 0.0000 0.0000 0.5000
B 0.0000 0.3116 0.3723

Top 6 peaks for 2θ = 10–90°, low angle first:
2θ (°), intensity
31.4, 13
39.0, 100
40.2, 24
48.7, 19
72.3, 14
78.7, 12

***

# 6
This entry pairs a crystal structure of V2Co21B6 with its theoretical powder X-ray diffraction pattern. Radiation: CuKα. Structure: a GGA-PBE-relaxed structure.
Lines closer than 0.1° are merged.

Crystal structure
a b c (Å): 10.4006 10.4006 10.4006
angles (deg): 90.00 90.00 90.00
Space group Fm-3m (No. 225)
Asymmetric unit:
V 0.2500 0.2500 0.2500
Co 0.0000 0.0000 0.0000
Co 0.0000 0.1691 0.1691
Co 0.1196 0.1196 0.3804
B 0.0000 0.0000 0.2752

Top 6 peaks for 2θ = 10–90°, low angle first:
2θ (°), intensity
38.7, 18
42.6, 25
45.3, 100
49.6, 19
52.0, 26
77.9, 19

***

Question: Number 4 is which compound?
Answer: VCo4B2